Simulated PXRD pattern of Rb5WO4F2 for Cu Kα (λ = 1.5418 Å), from a structure optimized by DFT (PBE+U).

Principal peaks in the range 2θ from 10° to 90°, sorted by position:
Position (°2θ)	d_spacing	I_rel
15.7	5.644	18.7
27.0	3.305	100.0
27.3	3.264	35.8
28.1	3.178	66.2
38.8	2.321	45.5
44.4	2.041	12.2
47.7	1.907	14.2
48.4	1.881	14.0
49.4	1.844	23.7
53.4	1.717	20.2

Cell and atoms:
Unit cell a=8.162 b=6.363 c=6.363 alpha=117.50 beta=90.00 gamma=90.00
Sites, in units of the cell vectors:
1 Rb 0.000 0.000 0.000
2 Rb 0.259 0.316 0.682
3 Rb 0.259 0.682 0.316
4 Rb 0.741 0.316 0.682
5 Rb 0.741 0.682 0.316
6 W 0.500 0.021 0.021
7 O 0.303 0.174 0.174
8 O 0.500 0.019 0.722
9 O 0.500 0.722 0.019
10 O 0.697 0.174 0.174
11 F 0.000 0.557 0.974
12 F 0.000 0.974 0.557